This entry pairs a crystal structure of La2TbSmIn2 with its simulated powder diffractogram. Radiation: Cu Kα. Structure: the GGA-PBE geometry in Alexandria.
Peak positions follow from Bragg's law for the DFT cell and can differ from measured ones.

Peak list (6 most intense, 10° ≤ 2θ ≤ 90°, by angle)
d/Å	I_rel
3.080	16
2.874	100
2.770	43
2.652	23
2.610	37
1.553	16

Structure:
```
data_La2TbSmIn2
_chemical_formula_sum 'La4 Tb2 Sm2 In4'
_symmetry_space_group_name_H-M 'P m c 21'
_symmetry_Int_Tables_number 26
_symmetry_space_group_name_Hall 'P 2c -2'
_cell_length_a 5.219
_cell_length_b 10.328
_cell_length_c 6.891
_cell_angle_alpha 90.00
_cell_angle_beta 90.00
_cell_angle_gamma 90.00
loop_
_atom_site_label
_atom_site_type_symbol
_atom_site_fract_x
_atom_site_fract_y
_atom_site_fract_z
La1 La 0.000 0.057 0.000
La2 La 0.500 0.179 0.225
Tb1 Tb 0.000 0.311 0.595
Sm1 Sm 0.500 0.459 0.870
In1 In 0.000 0.381 0.132
In2 In 0.500 0.148 0.712
```